# 1
Computed PXRD pattern of PtC8N6 for Cu Kα (weighted mean of Kα1 and Kα2), from a structure optimized by DFT (GGA-PBE).
Intensities are scaled so that the largest is 100.

Peak list (8 most intense, 15 to 90 degrees two-theta, in order of rising 2θ)
- (0 1 0), 17.02°, I 25
- (0 1 2), 20.95°, I 66
- (1 1 1), 22.04°, I 100
- (1 0 3), 22.16°, I 58
- (2 0 0), 25.09°, I 30
- (1 1 3), 28.06°, I 37
- (2 1 2), 32.95°, I 32
- (1 1 5), 37.52°, I 21

Atomic structure:
a = 7.0855 Å, b = 5.2091 Å, c = 14.6025 Å
α = 90.00°, β = 90.00°, γ = 90.00°
Space group Pmna (No. 53)
Inequivalent atoms, fractional coordinates:
Pt 0.0000 0.0000 0.0000
C 0.0000 0.3724 0.3638
C 0.0000 0.4400 0.7063
C 0.1666 0.2719 0.3997
N 0.0000 0.2845 0.7641
N 0.2003 0.1804 0.0660

=====

# 2
Computed PXRD pattern of CaPdF4 for Cu Kα (weighted mean of Kα1 and Kα2), from a structure optimized by DFT (GGA-PBE).
Intensities are scaled so that the largest is 100.

Peak list (8 most intense, 15 to 90 degrees two-theta, in order of rising 2θ)
- (1 1 0), 22.31°, I 27
- (1 1 2), 27.96°, I 100
- (2 0 0), 31.75°, I 17
- (2 0 2), 36.06°, I 12
- (2 2 0), 45.52°, I 18
- (2 0 4), 46.94°, I 39
- (3 1 2), 54.27°, I 32
- (1 1 6), 56.77°, I 14

Atomic structure:
a = 5.6364 Å, b = 5.6364 Å, c = 10.6523 Å
α = 90.00°, β = 90.00°, γ = 90.00°
Space group I4/mcm (No. 140)
Inequivalent atoms, fractional coordinates:
Ca 0.0000 0.0000 0.2500
Pd 0.0000 0.5000 0.0000
F 0.1762 0.3238 0.1361